1.
TlIn7Hg3: computed powder diffractogram (Cu Kα), based on DFT lattice parameters and positions (PBE).
Peak positions follow from Bragg's law for the DFT cell and can differ from measured ones.

```
TlIn7Hg3
1.0
4.709 -5.577 0.000
4.709 5.577 0.000
-2.397 0.000 6.060
Tl In Hg
1 7 3
Direct
0.000 0.000 0.000
0.000 0.000 0.500
0.089 0.559 0.825
0.319 0.319 0.470
0.441 0.911 0.175
0.559 0.089 0.825
0.681 0.681 0.530
0.911 0.441 0.175
0.266 0.734 0.500
0.500 0.500 0.000
0.734 0.266 0.500
```

Main lines, low angle first (15° ≤ 2θ ≤ 90°):
Position (°2θ)  Rel. int.
20.26  27.1
25.80  45.2
29.02  71.8
29.48  29.6
32.10  78.3
33.44  100.0
33.66  21.6
41.64  46.4
43.81  42.6
63.77  21.3

***

2.
Pm4TeAuSe2: computed powder diffractogram (Cu Kα), based on DFT lattice parameters and positions (PBE).
Peak positions follow from Bragg's law for the DFT cell and can differ from measured ones.

```
Pm4TeAuSe2
1.0
7.464 0.000 0.000
0.000 4.204 0.000
-2.392 0.000 7.144
Pm Te Au Se
4 1 1 2
Direct
0.237 0.000 0.232
0.243 0.500 0.755
0.757 0.500 0.245
0.763 0.000 0.768
0.500 0.500 0.500
0.000 0.000 0.500
0.000 0.500 0.000
0.500 0.000 0.000
```

Main lines, low angle first (15° ≤ 2θ ≤ 90°):
Position (°2θ)  Rel. int.
29.42  100.0
41.22  13.0
41.91  25.2
42.21  25.0
43.03  11.9
51.14  6.8
51.66  6.8
52.94  13.2
61.11  8.1
69.28  5.7

***

3.
La6YPb: computed powder diffractogram (Cu Kα), based on DFT lattice parameters and positions (PBE).
Peak positions follow from Bragg's law for the DFT cell and can differ from measured ones.

```
La6YPb
1.0
5.118 0.000 0.000
0.000 5.118 0.000
0.000 0.000 10.497
La Y Pb
6 1 1
Direct
0.000 0.000 0.000
0.000 0.000 0.500
0.000 0.500 0.244
0.000 0.500 0.756
0.500 0.000 0.244
0.500 0.000 0.756
0.500 0.500 0.500
0.500 0.500 0.000
```

Main lines, low angle first (15° ≤ 2θ ≤ 90°):
Position (°2θ)  Rel. int.
29.99  100.0
34.17  17.6
35.07  33.1
49.77  24.3
50.44  11.8
58.61  14.7
59.80  28.5
62.33  12.3
80.92  11.6
81.96  5.9

***

4.
Tm3Zn4Ga4: computed powder diffractogram (Cu Kα), based on DFT lattice parameters and positions (PBE).
Peak positions follow from Bragg's law for the DFT cell and can differ from measured ones.

```
Tm3Zn4Ga4
1.0
-2.144 3.379 7.103
2.144 -3.379 7.103
2.144 3.379 -7.103
Tm Zn Ga
3 4 4
Direct
0.000 0.000 0.000
0.376 0.876 0.500
0.624 0.124 0.500
0.023 0.334 0.689
0.356 0.666 0.689
0.644 0.334 0.311
0.977 0.666 0.311
0.219 0.219 0.000
0.312 0.500 0.812
0.688 0.500 0.188
0.781 0.781 0.000
```

Main lines, low angle first (15° ≤ 2θ ≤ 90°):
Position (°2θ)  Rel. int.
34.23  29.4
34.37  86.9
35.40  100.0
38.00  16.0
42.14  35.0
44.54  26.1
55.37  14.9
62.98  18.2
72.66  12.2
79.01  14.4

***

5.
YPO5: computed powder diffractogram (Cu Kα), based on DFT lattice parameters and positions (PBE).
Peak positions follow from Bragg's law for the DFT cell and can differ from measured ones.

```
YPO5
1.0
4.249 -3.043 0.000
4.249 3.043 0.000
-3.002 0.000 6.510
Y P O
2 2 10
Direct
0.049 0.951 0.750
0.951 0.049 0.250
0.500 0.500 0.000
0.500 0.500 0.500
0.222 0.760 0.031
0.240 0.778 0.469
0.276 0.305 0.395
0.305 0.276 0.895
0.434 0.566 0.750
0.566 0.434 0.250
0.695 0.724 0.105
0.724 0.695 0.605
0.760 0.222 0.531
0.778 0.240 0.969
```

Main lines, low angle first (15° ≤ 2θ ≤ 90°):
Position (°2θ)  Rel. int.
18.57  16.3
23.05  100.0
28.91  93.4
29.35  35.0
40.61  22.9
46.92  13.2
47.11  21.7
50.95  17.4
51.77  15.2
56.51  14.1

***

6.
SnHgSe2Br: computed powder diffractogram (Cu Kα), based on DFT lattice parameters and positions (PBE).
Peak positions follow from Bragg's law for the DFT cell and can differ from measured ones.

```
SnHgSe2Br
1.0
5.348 0.000 0.000
0.000 5.348 0.000
0.000 0.000 5.491
Sn Hg Se Br
1 1 2 1
Direct
0.000 0.000 0.000
0.500 0.500 0.500
0.000 0.500 0.000
0.500 0.000 0.000
0.000 0.000 0.500
```

Main lines, low angle first (15° ≤ 2θ ≤ 90°):
Position (°2θ)  Rel. int.
23.22  88.7
23.53  44.9
28.66  97.8
32.62  53.7
33.52  100.0
41.17  42.1
47.47  75.5
48.13  36.3
56.98  27.6
59.35  38.9

***

7.
Ca3Si2GeAu6: computed powder diffractogram (Cu Kα), based on DFT lattice parameters and positions (PBE).
Peak positions follow from Bragg's law for the DFT cell and can differ from measured ones.

```
Ca3Si2GeAu6
1.0
6.419 0.000 0.000
-3.209 5.559 0.000
0.000 0.000 7.930
Ca Si Ge Au
3 2 1 6
Direct
0.000 0.000 0.000
0.333 0.667 0.680
0.667 0.333 0.320
0.333 0.667 0.073
0.667 0.333 0.927
0.000 0.000 0.500
0.177 0.355 0.294
0.177 0.823 0.294
0.355 0.177 0.706
0.645 0.823 0.294
0.823 0.177 0.706
0.823 0.645 0.706
```

Main lines, low angle first (15° ≤ 2θ ≤ 90°):
Position (°2θ)  Rel. int.
19.50  43.9
22.42  37.3
32.21  16.1
33.92  14.2
34.18  100.0
36.00  14.8
39.60  50.0
47.47  31.6
57.07  19.5
57.42  20.7

***

8.
Er7Tm4Cd: computed powder diffractogram (Cu Kα), based on DFT lattice parameters and positions (PBE).
Peak positions follow from Bragg's law for the DFT cell and can differ from measured ones.

```
Er7Tm4Cd
1.0
5.484 0.000 0.000
-2.742 4.750 0.000
0.000 0.000 13.714
Er Tm Cd
7 4 1
Direct
0.000 0.000 0.000
0.000 0.000 0.268
0.000 0.000 0.732
0.333 0.667 0.173
0.333 0.667 0.425
0.667 0.333 0.575
0.667 0.333 0.827
0.333 0.667 0.685
0.333 0.667 0.927
0.667 0.333 0.073
0.667 0.333 0.315
0.000 0.000 0.500
```

Main lines, low angle first (15° ≤ 2θ ≤ 90°):
Position (°2θ)  Rel. int.
32.20  97.7
32.66  100.0
46.52  35.4
57.13  15.0
57.99  36.8
58.28  19.2
67.37  9.1
68.42  12.1
76.90  12.6
77.65  15.7

***

9.
Nd4DyEr7: computed powder diffractogram (Cu Kα), based on DFT lattice parameters and positions (PBE).
Peak positions follow from Bragg's law for the DFT cell and can differ from measured ones.

```
Nd4DyEr7
1.0
6.554 0.000 0.000
1.024 6.756 0.000
2.003 0.559 8.790
Nd Dy Er
4 1 7
Direct
0.139 0.308 0.286
0.336 0.885 0.692
0.664 0.115 0.308
0.861 0.692 0.714
0.500 0.500 0.000
0.011 0.253 0.952
0.181 0.798 0.356
0.314 0.395 0.619
0.500 0.000 0.000
0.686 0.605 0.381
0.819 0.202 0.644
0.989 0.747 0.048
```

Main lines, low angle first (15° ≤ 2θ ≤ 90°):
Position (°2θ)  Rel. int.
30.51  37.5
31.13  40.3
31.67  100.0
32.03  87.7
32.54  11.8
43.59  12.1
45.51  12.0
46.38  13.9
56.83  26.7
66.16  11.5

***

10.
KCoRuBr6: computed powder diffractogram (Cu Kα), based on DFT lattice parameters and positions (PBE).
Peak positions follow from Bragg's law for the DFT cell and can differ from measured ones.

```
KCoRuBr6
1.0
6.488 0.000 0.000
-3.244 5.619 0.000
0.000 0.000 7.470
K Co Ru Br
1 1 1 6
Direct
0.000 0.000 0.000
0.333 0.667 0.500
0.667 0.333 0.500
0.008 0.367 0.684
0.008 0.642 0.316
0.358 0.367 0.316
0.358 0.992 0.684
0.633 0.642 0.684
0.633 0.992 0.316
```

Main lines, low angle first (15° ≤ 2θ ≤ 90°):
Position (°2θ)  Rel. int.
15.77  14.4
19.77  44.1
30.03  100.0
36.69  91.8
44.35  13.9
45.95  29.8
48.61  37.0
50.22  14.9
56.89  23.9
62.42  15.8

***

11.
Pr6YMg2: computed powder diffractogram (Cu Kα), based on DFT lattice parameters and positions (PBE).
Peak positions follow from Bragg's law for the DFT cell and can differ from measured ones.

```
Pr6YMg2
1.0
3.119 -5.347 0.000
3.119 5.347 0.000
0.000 0.000 8.887
Pr Y Mg
6 1 2
Direct
0.172 0.341 0.662
0.174 0.826 0.000
0.341 0.172 0.338
0.659 0.828 0.338
0.826 0.174 0.000
0.828 0.659 0.662
0.500 0.500 0.000
0.000 0.500 0.328
0.500 0.000 0.672
```

Main lines, low angle first (15° ≤ 2θ ≤ 90°):
Position (°2θ)  Rel. int.
19.26  31.3
26.01  22.4
30.17  61.0
30.37  59.1
30.59  100.0
35.15  37.1
35.34  71.6
50.57  22.9
51.94  22.3
68.40  22.3

***

12.
Pu8GeSb3: computed powder diffractogram (Cu Kα), based on DFT lattice parameters and positions (PBE).
Peak positions follow from Bragg's law for the DFT cell and can differ from measured ones.

```
Pu8GeSb3
1.0
5.107 -4.489 0.000
5.107 4.489 0.000
-4.818 0.000 6.869
Pu Ge Sb
8 1 3
Direct
0.000 0.000 0.000
0.330 0.934 0.468
0.341 0.708 0.802
0.570 0.570 0.225
0.708 0.341 0.802
0.867 0.867 0.505
0.934 0.330 0.468
0.946 0.946 0.266
0.665 0.665 0.642
0.075 0.495 0.245
0.234 0.234 0.833
0.495 0.075 0.245
```

Main lines, low angle first (15° ≤ 2θ ≤ 90°):
Position (°2θ)  Rel. int.
21.25  28.5
29.85  49.2
31.76  36.2
31.91  42.3
34.96  94.9
36.81  100.0
37.08  27.8
37.92  37.3
44.42  32.8
62.25  39.8

***

13.
Ac2UPdSe5: computed powder diffractogram (Cu Kα), based on DFT lattice parameters and positions (PBE).
Peak positions follow from Bragg's law for the DFT cell and can differ from measured ones.

```
Ac2UPdSe5
1.0
2.104 -8.846 0.000
2.104 8.846 0.000
0.000 0.000 12.928
Ac U Pd Se
4 2 2 10
Direct
0.107 0.893 0.500
0.122 0.878 0.853
0.878 0.122 0.353
0.893 0.107 0.000
0.177 0.823 0.173
0.823 0.177 0.673
0.437 0.563 0.574
0.563 0.437 0.074
0.021 0.979 0.175
0.298 0.702 0.518
0.307 0.693 0.829
0.342 0.658 0.173
0.498 0.502 0.896
0.502 0.498 0.396
0.658 0.342 0.673
0.693 0.307 0.329
0.702 0.298 0.018
0.979 0.021 0.675
```

Main lines, low angle first (15° ≤ 2θ ≤ 90°):
Position (°2θ)  Rel. int.
20.08  14.5
22.96  34.0
30.11  100.0
31.11  20.3
33.41  25.1
35.96  41.1
42.30  13.7
43.00  24.8
47.70  14.8
55.32  14.6